[1]
Simulated PXRD pattern
Compound: Li2VF6
Radiation: Cu Kα X-rays
Structure: the PBE+U geometry in the Materials Project
Kinematic intensities with the Lorentz-polarization factor, no thermal factor.

The 10 most intense peaks (2θ from 10° to 80°), sorted by position:
2θ (°)	I (rel.)
19.6	37
20.2	100
27.9	57
29.5	16
44.8	24
45.1	26
47.2	23
57.7	10
63.5	14
70.7	7

Atomic structure:
```
Li2VF6
1.0
6.394 0.000 0.000
0.000 6.394 0.000
0.000 0.000 6.056
Li V F
4 2 12
Cartesian
0.000 3.197 1.514
0.000 3.197 4.542
3.197 0.000 1.514
3.197 0.000 4.542
0.000 0.000 0.000
3.197 3.197 3.028
0.000 0.000 1.791
0.000 0.000 4.265
0.194 1.929 0.000
1.268 3.003 3.028
1.929 6.200 0.000
3.003 5.126 3.028
3.197 3.197 1.237
3.197 3.197 4.818
3.392 1.268 3.028
4.465 0.194 0.000
5.126 3.392 3.028
6.200 4.465 0.000
```

[2]
Simulated PXRD pattern
Compound: MgFe2Ag2O4
Radiation: Cu Kα X-rays
Structure: the PBE+U geometry in the Materials Project
Kinematic intensities with the Lorentz-polarization factor, no thermal factor.

The 10 most intense peaks (2θ from 10° to 80°), sorted by position:
2θ (°)	I (rel.)
12.4	42
25.0	57
31.3	72
33.5	100
34.0	77
34.8	39
36.1	55
36.9	59
37.6	93
59.6	41

Atomic structure:
```
MgFe2Ag2O4
1.0
2.680 -1.566 0.000
2.680 1.566 0.000
-1.236 0.000 14.275
Mg Fe Ag O
1 2 2 4
Cartesian
0.000 0.000 0.000
0.623 0.000 5.624
0.527 0.000 11.743
2.091 0.000 2.409
4.167 0.000 8.756
2.414 0.000 4.614
2.327 0.000 13.372
4.190 0.000 6.652
4.104 0.000 10.876
```